Theoretical powder diffraction line list
Compound: SmDyBrNCl2
Radiation: copper Kα
Structure: DFT lattice parameters and positions (PBE)
Kinematic intensities with the Lorentz-polarization factor, no thermal factor.

a = 9.1164 Å, b = 9.1164 Å, c = 11.4002 Å
α = 122.58°, β = 122.58°, γ = 24.60°
Positions (direct):
Sm 0.1366 0.1366 0.2864
Sm 0.8634 0.8634 0.7136
Dy 0.4236 0.4236 0.0405
Dy 0.5764 0.5764 0.9595
Br 0.3357 0.3357 0.4848
Br 0.6643 0.6643 0.5152
N 0.4262 0.4262 0.8482
N 0.5738 0.5738 0.1518
Cl 0.0393 0.0393 0.7633
Cl 0.2042 0.2042 0.1073
Cl 0.7958 0.7958 0.8927
Cl 0.9607 0.9607 0.2367

Peak list (6 most intense, 10 to 90 degrees two-theta, by angle)
d 8.586, 2θ 10.30, intensity 100
d 3.340, 2θ 26.69, intensity 30
d 3.172, 2θ 28.14, intensity 33
d 2.834, 2θ 31.57, intensity 18
d 2.804, 2θ 31.92, intensity 23
d 2.767, 2θ 32.35, intensity 22